No. 1
Simulated powder XRD pattern
Compound: DyHfNi2As2
Radiation: Cu Kα, 1.54184 Å
Structure: a DFT-relaxed cell (PBE, OQMD)

Principal peaks in the range 5 to 70 degrees two-theta, by angle:
2theta	d [Å]	I (rel.)	hkl
11.98	7.386	4	0 0 2
25.79	3.454	20	1 0 0
31.64	2.828	4	1 0 3
35.59	2.523	100	1 0 4
45.49	1.994	46	1 1 0
49.35	1.846	7	0 0 8
50.70	1.801	5	1 0 7
56.51	1.628	10	1 0 8
59.05	1.564	23	2 0 4
69.36	1.355	16	1 1 8

Structural model:
abc: 3.9882 3.9882 14.7718
angles: 90.00 90.00 120.00
Positions (direct):
Dy: 0.0000 0.0000 0.0000
Dy: 0.0000 0.0000 0.5000
Hf: 0.0000 0.0000 0.2500
Hf: 0.0000 0.0000 0.7500
Ni: 0.3333 0.6667 0.1577
Ni: 0.3333 0.6667 0.3423
Ni: 0.6667 0.3333 0.6577
Ni: 0.6667 0.3333 0.8423
As: 0.3333 0.6667 0.6222
As: 0.3333 0.6667 0.8778
As: 0.6667 0.3333 0.1222
As: 0.6667 0.3333 0.3778

---

No. 2
Simulated powder XRD pattern
Compound: DyHoAsO
Radiation: Cu Kα, 1.54184 Å
Structure: a DFT-relaxed cell (PBE, OQMD)

Principal peaks in the range 5 to 70 degrees two-theta, by angle:
2theta	d [Å]	I (rel.)	hkl
24.49	3.635	100	1 1 0
27.88	3.201	38	0 2 1
28.95	3.085	99	1 1 1
30.67	2.915	89	0 0 2
31.87	2.808	39	1 2 0
38.50	2.338	49	0 3 1
39.63	2.274	44	1 1 2
41.59	2.171	46	1 3 0
43.84	2.065	41	2 0 0
52.55	1.741	37	1 3 2

Structural model:
abc: 4.1300 7.6585 5.8302
angles: 90.00 90.00 90.00
Positions (direct):
Dy: 0.0000 0.1149 0.0000
Dy: 0.0000 0.8851 0.5000
Ho: 0.5000 0.2879 0.4336
Ho: 0.5000 0.7121 0.9336
As: 0.5000 0.3448 0.9241
As: 0.5000 0.6552 0.4241
O: 0.0000 0.1720 0.3764
O: 0.0000 0.8280 0.8764

---

No. 3
Simulated powder XRD pattern
Compound: KDyAsO
Radiation: Cu Kα, 1.54184 Å
Structure: a DFT-relaxed cell (PBE, OQMD)

Principal peaks in the range 5 to 70 degrees two-theta, by angle:
2theta	d [Å]	I (rel.)	hkl
19.72	4.502	100	0 1 1
22.26	3.994	27	1 1 0
26.84	3.322	95	1 1 1
29.86	2.993	48	0 0 2
31.89	2.807	39	1 2 0
35.32	2.541	50	1 2 1
36.51	2.461	38	2 0 0
41.83	2.160	30	2 1 1
44.24	2.047	42	1 2 2
46.48	1.954	28	1 3 1

Structural model:
abc: 4.9224 6.8324 5.9852
angles: 90.00 90.00 90.00
Positions (direct):
K: 0.0000 0.1306 0.0000
K: 0.0000 0.8694 0.5000
Dy: 0.5000 0.2169 0.5013
Dy: 0.5000 0.7831 0.0013
As: 0.0000 0.4327 0.4612
As: 0.0000 0.5673 0.9612
O: 0.5000 0.0092 0.7621
O: 0.5000 0.9908 0.2621

---

No. 4
Simulated powder XRD pattern
Compound: K2Dy2AsP
Radiation: Cu Kα, 1.54184 Å
Structure: a DFT-relaxed cell (PBE, OQMD)

Principal peaks in the range 5 to 70 degrees two-theta, by angle:
2theta	d [Å]	I (rel.)	hkl
11.26	7.860	100	0 0 1
22.63	3.930	15	0 0 2
27.89	3.199	64	1 1 1
34.29	2.615	54	1 1 2
36.27	2.477	35	2 0 0
38.09	2.362	22	2 0 1
43.14	2.097	34	1 1 3
53.47	1.714	14	1 1 4
60.24	1.536	14	3 1 1
63.97	1.455	20	3 1 2

Structural model:
abc: 4.9538 4.9538 7.8597
angles: 90.00 90.00 90.00
Positions (direct):
K: 0.0000 0.0000 0.0000
K: 0.5000 0.5000 0.2352
Dy: 0.0000 0.5000 0.6107
Dy: 0.5000 0.0000 0.6107
As: 0.5000 0.5000 0.8043
P: 0.0000 0.0000 0.4422